Computed powder X-ray diffraction pattern of Pm3Tm3Th for Cu Ka, from a DFT-relaxed cell (PBE, Alexandria).
Lines closer than 0.1° are merged.

Principal peaks in the range 15° ≤ 2θ ≤ 90°, by angle:
| two_theta | I (rel.) |
| --- | --- |
| 28.4 | 23.4 |
| 31.4 | 24.3 |
| 32.5 | 100.0 |
| 50.2 | 19.2 |
| 56.5 | 21.0 |
| 60.4 | 22.1 |

Structure:
Lattice parameters (Å, degrees): 9.6139 9.6139 5.7064 90.00 90.00 120.00
Positions (direct):
Pm  0.0578  0.2473  0.2500
Pm  0.1894  0.9422  0.2500
Pm  0.2473  0.1894  0.7500
Pm  0.7527  0.8106  0.2500
Pm  0.8106  0.0578  0.7500
Pm  0.9422  0.7527  0.7500
Tm  0.0955  0.4825  0.7500
Tm  0.3870  0.9045  0.7500
Tm  0.4825  0.3870  0.2500
Tm  0.5175  0.6130  0.7500
Tm  0.6130  0.0955  0.2500
Tm  0.9045  0.5175  0.2500
Th  0.3333  0.6667  0.2500
Th  0.6667  0.3333  0.7500

=====

Computed powder X-ray diffraction pattern of Ho4CuRu for Cu Ka, from a DFT-relaxed cell (PBE, Alexandria).
Lines closer than 0.1° are merged.

Principal peaks in the range 15° ≤ 2θ ≤ 90°, by angle:
| two_theta | I (rel.) |
| --- | --- |
| 28.8 | 46.3 |
| 29.2 | 96.9 |
| 29.4 | 100.0 |
| 29.8 | 49.3 |
| 31.7 | 51.0 |
| 32.6 | 34.4 |

Structure:
Lattice parameters (Å, degrees): 6.8470 6.7950 6.8112 90.00 92.47 90.00
Positions (direct):
Ho  0.1563  0.1612  0.1746
Ho  0.1563  0.3388  0.6746
Ho  0.3308  0.6611  0.1519
Ho  0.3308  0.8389  0.6519
Ho  0.6692  0.1611  0.3481
Ho  0.6692  0.3389  0.8481
Ho  0.8437  0.6612  0.3254
Ho  0.8437  0.8388  0.8254
Cu  0.5000  0.0000  0.0000
Cu  0.5000  0.5000  0.5000
Ru  0.0000  0.0000  0.5000
Ru  0.0000  0.5000  0.0000

=====

Computed powder X-ray diffraction pattern of Ga2CuAgTe2Se2 for Cu Ka, from a DFT-relaxed cell (PBE, Alexandria).
Lines closer than 0.1° are merged.

Principal peaks in the range 15° ≤ 2θ ≤ 90°, by angle:
| two_theta | I (rel.) |
| --- | --- |
| 25.6 | 91.0 |
| 25.8 | 100.0 |
| 42.5 | 24.5 |
| 42.7 | 45.8 |
| 43.0 | 45.3 |
| 51.1 | 26.2 |

Structure:
Lattice parameters (Å, degrees): 7.2800 7.2800 6.0059 114.12 114.12 108.43
Positions (direct):
Ga  0.0000  0.0000  0.0000
Ga  0.7628  0.2372  0.5000
Cu  0.4936  0.5064  0.0000
Ag  0.2685  0.7315  0.5000
Te  0.3870  0.1388  0.5157
Te  0.8612  0.6130  0.4843
Se  0.1207  0.3482  0.9695
Se  0.6518  0.8793  0.0305

=====

Computed powder X-ray diffraction pattern of PmNd2Er4Th for Cu Ka, from a DFT-relaxed cell (PBE, Alexandria).
Lines closer than 0.1° are merged.

Principal peaks in the range 15° ≤ 2θ ≤ 90°, by angle:
| two_theta | I (rel.) |
| --- | --- |
| 30.6 | 100.0 |
| 35.2 | 34.8 |
| 36.2 | 16.1 |
| 51.3 | 23.7 |
| 60.2 | 14.8 |
| 60.3 | 14.7 |

Structure:
Lattice parameters (Å, degrees): 5.0990 5.1127 9.9261 90.00 90.00 90.00
Positions (direct):
Pm  0.0000  0.0000  0.0000
Nd  0.0000  0.0000  0.5000
Nd  0.5000  0.5000  0.0000
Er  0.0000  0.5000  0.2545
Er  0.0000  0.5000  0.7455
Er  0.5000  0.0000  0.2546
Er  0.5000  0.0000  0.7454
Th  0.5000  0.5000  0.5000

=====

What did the first record say?
Computed powder X-ray diffraction pattern of Pm3Tm3Th for Cu Ka, from a DFT-relaxed cell (PBE, Alexandria).
Lines closer than 0.1° are merged.

Principal peaks in the range 15° ≤ 2θ ≤ 90°, by angle:
| two_theta | I (rel.) |
| --- | --- |
| 28.4 | 23.4 |
| 31.4 | 24.3 |
| 32.5 | 100.0 |
| 50.2 | 19.2 |
| 56.5 | 21.0 |
| 60.4 | 22.1 |

Structure:
Lattice parameters (Å, degrees): 9.6139 9.6139 5.7064 90.00 90.00 120.00
Positions (direct):
Pm  0.0578  0.2473  0.2500
Pm  0.1894  0.9422  0.2500
Pm  0.2473  0.1894  0.7500
Pm  0.7527  0.8106  0.2500
Pm  0.8106  0.0578  0.7500
Pm  0.9422  0.7527  0.7500
Tm  0.0955  0.4825  0.7500
Tm  0.3870  0.9045  0.7500
Tm  0.4825  0.3870  0.2500
Tm  0.5175  0.6130  0.7500
Tm  0.6130  0.0955  0.2500
Tm  0.9045  0.5175  0.2500
Th  0.3333  0.6667  0.2500
Th  0.6667  0.3333  0.7500